Starting from DFT lattice parameters and positions (PBE), the PXRD pattern of Mg14VW was calculated for λ = 1.5418 Å (Cu Kα).
Intensities are scaled so that the largest is 100.

Atomic structure:
Unit cell a=6.2406 b=6.2406 c=9.9798 alpha=90.00 beta=90.00 gamma=120.00
Space group P-6m2 (No. 187)
One atom of each set of equivalent atoms:
Mg  0.0000  0.0000  0.2499 [2 per cell]
Mg  0.0145  0.5072  0.2456 [6 per cell]
Mg  0.3351  0.1676  0.0000 [3 per cell]
Mg  0.3357  0.1678  0.5000 [3 per cell]
V  0.3333  0.6667  0.5000 [1 per cell]
W  0.3333  0.6667  0.0000 [1 per cell]

Principal peaks in the range 15 to 90 degrees two-theta, in order of falling intensity:
(hkl)  2θ/deg  Rel. int.
2 0 2  37.9  100
1 0 0  16.4  52
1 0 1  18.7  36
1 0 2  24.3  35
2 0 0  33.2  30
0 0 4  36.0  25
2 0 4  49.7  19
2 2 4  71.3  19

***

Starting from DFT lattice parameters and positions (PBE), the PXRD pattern of Mg6VW was calculated for λ = 1.5418 Å (Cu Kα).
Intensities are scaled so that the largest is 100.

Atomic structure:
Unit cell a=4.9132 b=5.8073 c=10.8517 alpha=90.00 beta=90.00 gamma=90.00
Space group Amm2 (No. 38)
One atom of each set of equivalent atoms:
Mg  0.0000  0.0000  0.0000 [2 per cell]
Mg  0.0000  0.0000  0.4987 [2 per cell]
Mg  0.0000  0.2436  0.2661 [4 per cell]
Mg  0.5000  0.2493  0.6015 [4 per cell]
V  0.5000  0.0000  0.8493 [2 per cell]
W  0.5000  0.0000  0.3534 [2 per cell]

Principal peaks in the range 15 to 90 degrees two-theta, in order of falling intensity:
(hkl)  2θ/deg  Rel. int.
1 2 2  39.7  100
0 0 2  16.3  74
1 0 4  37.9  67
0 1 1  17.3  60
1 0 0  18.1  52
1 1 1  25.1  48
1 0 2  24.4  46
0 2 2  35.1  44

***

Starting from DFT lattice parameters and positions (PBE), the PXRD pattern of Mg6VW was calculated for λ = 1.5418 Å (Cu Kα).
Intensities are scaled so that the largest is 100.

Atomic structure:
Unit cell a=4.7354 b=5.9725 c=10.9709 alpha=90.00 beta=90.00 gamma=90.00
Space group Amm2 (No. 38)
One atom of each set of equivalent atoms:
Mg  0.0000  0.0000  0.0000 [2 per cell]
Mg  0.0000  0.2390  0.2486 [4 per cell]
Mg  0.5000  0.0000  0.8394 [2 per cell]
Mg  0.5000  0.2414  0.5926 [4 per cell]
V  0.0000  0.0000  0.4742 [2 per cell]
W  0.5000  0.0000  0.3627 [2 per cell]

Principal peaks in the range 15 to 90 degrees two-theta, in order of falling intensity:
(hkl)  2θ/deg  Rel. int.
0 1 1  16.9  100
2 0 0  37.9  87
1 2 2  39.3  66
0 0 2  16.2  48
0 2 2  34.2  41
1 1 1  25.3  40
1 1 3  34.4  29
1 1 5  48.2  28

***

Starting from DFT lattice parameters and positions (PBE), the PXRD pattern of Mg6VZn was calculated for λ = 1.5418 Å (Cu Kα).
Intensities are scaled so that the largest is 100.

Atomic structure:
Unit cell a=4.9360 b=6.2029 c=10.6766 alpha=90.00 beta=90.00 gamma=90.00
Space group Amm2 (No. 38)
One atom of each set of equivalent atoms:
Mg  0.0000  0.0000  0.0000 [2 per cell]
Mg  0.0000  0.2406  0.2554 [4 per cell]
Mg  0.5000  0.0000  0.8322 [2 per cell]
Mg  0.5000  0.2425  0.5824 [4 per cell]
V  0.5000  0.0000  0.3365 [2 per cell]
Zn  0.0000  0.0000  0.4901 [2 per cell]

Principal peaks in the range 15 to 90 degrees two-theta, in order of falling intensity:
(hkl)  2θ/deg  Rel. int.
1 2 2  38.2  100
1 0 4  38.3  53
0 1 1  16.5  42
2 0 0  36.4  40
0 2 2  33.4  27
3 0 4  66.7  27
2 2 6  72.2  18
2 2 2  50.2  16

***

Starting from DFT lattice parameters and positions (PBE), the PXRD pattern of Mg6VZn was calculated for λ = 1.5418 Å (Cu Kα).
Intensities are scaled so that the largest is 100.

Atomic structure:
Unit cell a=4.9463 b=6.1166 c=10.7748 alpha=90.00 beta=90.00 gamma=90.00
Space group Amm2 (No. 38)
One atom of each set of equivalent atoms:
Mg  0.0000  0.0000  0.0000 [2 per cell]
Mg  0.0000  0.0000  0.4975 [2 per cell]
Mg  0.0000  0.2459  0.2579 [4 per cell]
Mg  0.5000  0.2470  0.5877 [4 per cell]
V  0.5000  0.0000  0.3380 [2 per cell]
Zn  0.5000  0.0000  0.8352 [2 per cell]

Principal peaks in the range 15 to 90 degrees two-theta, in order of falling intensity:
(hkl)  2θ/deg  Rel. int.
1 2 2  38.4  100
1 0 4  38.0  51
2 0 0  36.3  38
0 2 2  33.7  28
0 0 2  16.5  21
2 2 6  71.9  18
3 2 2  66.8  18
2 2 2  50.4  17

***

Starting from DFT lattice parameters and positions (PBE), the PXRD pattern of Mg7W was calculated for λ = 1.5418 Å (Cu Kα).
Intensities are scaled so that the largest is 100.

Atomic structure:
Unit cell a=6.2018 b=6.2018 c=4.9437 alpha=90.00 beta=90.00 gamma=120.00
Space group P-6m2 (No. 187)
One atom of each set of equivalent atoms:
Mg  0.0000  0.0000  0.0000 [1 per cell]
Mg  0.0208  0.5104  0.0000 [3 per cell]
Mg  0.3357  0.1678  0.5000 [3 per cell]
W  0.3333  0.6667  0.5000 [1 per cell]

Principal peaks in the range 15 to 90 degrees two-theta, in order of falling intensity:
(hkl)  2θ/deg  Rel. int.
2 0 1  38.1  100
1 0 0  16.5  98
1 0 1  24.5  67
2 0 0  33.4  35
1 1 1  34.1  31
2 1 1  48.5  28
0 0 1  17.9  25
1 1 0  28.8  25

***

Starting from DFT lattice parameters and positions (PBE), the PXRD pattern of Mg3W was calculated for λ = 1.5418 Å (Cu Kα).
Intensities are scaled so that the largest is 100.

Atomic structure:
Unit cell a=2.8550 b=4.9147 c=5.3942 alpha=90.00 beta=90.00 gamma=90.00
Space group Pmm2 (No. 25)
One atom of each set of equivalent atoms:
Mg  0.0000  0.0000  0.0000 [1 per cell]
Mg  0.0000  0.5000  0.3275 [1 per cell]
Mg  0.5000  0.0000  0.5382 [1 per cell]
W  0.5000  0.5000  0.8268 [1 per cell]

Principal peaks in the range 15 to 90 degrees two-theta, in order of falling intensity:
(hkl)  2θ/deg  Rel. int.
0 0 1  16.4  100
1 1 1  40.2  90
0 1 0  18.0  75
0 1 1  24.5  68
0 1 2  38.1  60
1 0 1  35.6  45
0 2 0  36.6  37
1 2 1  51.9  31

***

Starting from DFT lattice parameters and positions (PBE), the PXRD pattern of Mg15W was calculated for λ = 1.5418 Å (Cu Kα).
Intensities are scaled so that the largest is 100.

Atomic structure:
Unit cell a=6.2965 b=6.2965 c=10.0629 alpha=90.00 beta=90.00 gamma=120.00
Space group P-6m2 (No. 187)
One atom of each set of equivalent atoms:
Mg  0.0000  0.0000  0.0000 [1 per cell]
Mg  0.0001  0.5000  0.5000 [3 per cell]
Mg  0.0019  0.5010  0.0000 [3 per cell]
Mg  0.1606  0.3213  0.2591 [6 per cell]
Mg  0.6667  0.3333  0.2477 [2 per cell]
W  0.0000  0.0000  0.5000 [1 per cell]

Principal peaks in the range 15 to 90 degrees two-theta, in order of falling intensity:
(hkl)  2θ/deg  Rel. int.
2 0 2  37.5  100
1 0 1  18.5  58
1 0 0  16.3  41
2 0 0  32.8  29
1 0 2  24.1  28
0 0 4  35.7  25
2 2 4  70.6  19
2 0 6  65.3  18

***

Starting from DFT lattice parameters and positions (PBE), the PXRD pattern of Mg6ZrW was calculated for λ = 1.5418 Å (Cu Kα).
Intensities are scaled so that the largest is 100.

Atomic structure:
Unit cell a=4.9420 b=6.0791 c=11.1485 alpha=90.00 beta=90.00 gamma=90.00
Space group Amm2 (No. 38)
One atom of each set of equivalent atoms:
Mg  0.0000  0.0000  0.0000 [2 per cell]
Mg  0.0000  0.2437  0.2423 [4 per cell]
Mg  0.5000  0.0000  0.8468 [2 per cell]
Mg  0.5000  0.2468  0.5992 [4 per cell]
Zr  0.0000  0.0000  0.4719 [2 per cell]
W  0.5000  0.0000  0.3699 [2 per cell]

Principal peaks in the range 15 to 90 degrees two-theta, in order of falling intensity:
(hkl)  2θ/deg  Rel. int.
0 1 1  16.6  100
0 2 2  33.6  64
1 0 4  37.0  50
1 2 2  38.3  46
0 0 2  15.9  43
2 0 0  36.4  28
2 2 2  50.3  24
2 1 1  40.2  22

***

Starting from DFT lattice parameters and positions (PBE), the PXRD pattern of Mg6ZrW was calculated for λ = 1.5418 Å (Cu Kα).
Intensities are scaled so that the largest is 100.

Atomic structure:
Unit cell a=5.0448 b=5.7938 c=11.3428 alpha=90.00 beta=90.00 gamma=90.00
Space group Amm2 (No. 38)
One atom of each set of equivalent atoms:
Mg  0.0000  0.0000  0.0000 [2 per cell]
Mg  0.0000  0.0000  0.4855 [2 per cell]
Mg  0.0000  0.2422  0.2581 [4 per cell]
Mg  0.5000  0.2498  0.0994 [4 per cell]
Zr  0.5000  0.0000  0.8487 [2 per cell]
W  0.5000  0.0000  0.3458 [2 per cell]

Principal peaks in the range 15 to 90 degrees two-theta, in order of falling intensity:
(hkl)  2θ/deg  Rel. int.
1 2 2  39.2  100
0 0 2  15.6  94
1 0 4  36.3  73
1 0 0  17.6  66
1 0 2  23.6  61
0 2 2  34.8  47
2 0 0  35.6  43
2 2 2  50.6  32

***

Starting from DFT lattice parameters and positions (PBE), the PXRD pattern of Y2Mg was calculated for λ = 1.5418 Å (Cu Kα).
Intensities are scaled so that the largest is 100.

Atomic structure:
Unit cell a=12.8910 b=3.5599 c=8.0905 alpha=90.00 beta=104.62 gamma=90.00
Space group C2/m (No. 12)
One atom of each set of equivalent atoms:
Y  0.0240  0.0000  0.2938 [4 per cell]
Y  0.1974  0.5000  0.6432 [4 per cell]
Mg  0.1411  0.5000  0.0249 [4 per cell]

Principal peaks in the range 15 to 90 degrees two-theta, in order of falling intensity:
(hkl)  2θ/deg  Rel. int.
1 1 -2  33.5  100
3 1 0  33.1  70
4 0 -2  31.9  51
1 1 1  29.2  30
0 0 3  34.4  29
3 1 3  52.6  23
7 1 -2  57.3  20
2 0 2  29.9  17

***

Starting from DFT lattice parameters and positions (PBE), the PXRD pattern of Y5Mg was calculated for λ = 1.5418 Å (Cu Kα).
Intensities are scaled so that the largest is 100.

Atomic structure:
Unit cell a=6.2064 b=6.2064 c=5.5975 alpha=90.00 beta=90.00 gamma=120.00
Space group P-62m (No. 189)
One atom of each set of equivalent atoms:
Y  0.0000  0.6764  0.0000 [3 per cell]
Y  0.3333  0.6667  0.5000 [2 per cell]
Mg  0.0000  0.0000  0.5000 [1 per cell]

Principal peaks in the range 15 to 90 degrees two-theta, in order of falling intensity:
(hkl)  2θ/deg  Rel. int.
1 1 1  33.0  100
1 1 0  28.8  25
0 0 2  32.0  24
3 0 2  61.4  21
1 1 3  57.6  19
3 0 0  51.0  19
1 1 2  43.5  16
2 2 1  62.1  15

***

Starting from DFT lattice parameters and positions (PBE), the PXRD pattern of Y2Mg was calculated for λ = 1.5418 Å (Cu Kα).
Intensities are scaled so that the largest is 100.

Atomic structure:
Unit cell a=12.8041 b=5.2372 c=5.2358 alpha=90.00 beta=90.00 gamma=90.00
Space group Cmcm (No. 63)
One atom of each set of equivalent atoms:
Y  0.1563  0.2466  0.2500 [8 per cell]
Mg  0.0000  0.2593  0.7500 [4 per cell]

Principal peaks in the range 15 to 90 degrees two-theta, in order of falling intensity:
(hkl)  2θ/deg  Rel. int.
3 1 1  32.0  100
0 0 2  34.2  43
3 1 3  59.9  31
1 1 1  25.0  26
6 0 2  55.6  18
0 2 2  49.2  15
7 1 1  56.0  13
6 0 0  42.4  10